Computed powder diffraction line list of Nb2Te3 for Cu Kα (λ = 1.5418 Å), from a structure optimized by DFT (GGA-PBE).
Intensities are scaled so that the largest is 100.

The 10 most intense peaks (10° ≤ 2θ ≤ 80°), by angle:
2θ 28.0, d = 3.184 Å, rel. 59; 2θ 29.7, d = 3.013 Å, rel. 100; 2θ 29.9, d = 2.990 Å, rel. 51; 2θ 30.1, d = 2.965 Å, rel. 72; 2θ 31.1, d = 2.880 Å, rel. 84; 2θ 36.3, d = 2.472 Å, rel. 49; 2θ 37.1, d = 2.424 Å, rel. 49; 2θ 38.2, d = 2.355 Å, rel. 99; 2θ 44.1, d = 2.053 Å, rel. 63; 2θ 49.2, d = 1.852 Å, rel. 51

Structural model:
Cell: 15.261 3.703 10.658 Å, 90.00 123.42 90.00°
Space group C2/m (No. 12)
Inequivalent atoms, fractional coordinates:
Nb (0.166, 0.000, 0.381) [4 per cell]
Nb (0.244, 0.500, 0.874) [4 per cell]
Te (0.089, 0.000, 0.822) [4 per cell]
Te (0.123, 0.500, 0.149) [4 per cell]
Te (0.129, 0.500, 0.544) [4 per cell]

=====

Computed powder diffraction line list of Ca2SiO4 for Cu Kα (λ = 1.5418 Å), from a structure optimized by DFT (GGA-PBE).
Intensities are scaled so that the largest is 100.

The 10 most intense peaks (10° ≤ 2θ ≤ 80°), by angle:
2θ 27.4, d = 3.253 Å, rel. 90; 2θ 30.2, d = 2.964 Å, rel. 53; 2θ 30.5, d = 2.933 Å, rel. 57; 2θ 31.4, d = 2.847 Å, rel. 79; 2θ 32.3, d = 2.773 Å, rel. 37; 2θ 34.3, d = 2.611 Å, rel. 55; 2θ 35.6, d = 2.524 Å, rel. 69; 2θ 39.2, d = 2.296 Å, rel. 58; 2θ 39.6, d = 2.278 Å, rel. 100; 2θ 52.6, d = 1.740 Å, rel. 36

Structural model:
Cell: 6.251 7.091 9.793 Å, 90.00 123.37 90.00°
Space group P2_1/c (No. 14)
Inequivalent atoms, fractional coordinates:
Ca (0.037, 0.065, 0.195) [4 per cell]
Ca (0.318, 0.608, 0.148) [4 per cell]
Si (0.341, 0.212, 0.002) [4 per cell]
O (0.124, 0.125, 0.459) [4 per cell]
O (0.268, 0.157, 0.816) [4 per cell]
O (0.284, 0.034, 0.086) [4 per cell]
O (0.363, 0.709, 0.873) [4 per cell]

=====

Computed powder diffraction line list of Gd4MgRu for Cu Kα (λ = 1.5418 Å), from a structure optimized by DFT (GGA-PBE).
Intensities are scaled so that the largest is 100.

The 10 most intense peaks (10° ≤ 2θ ≤ 80°), by angle:
2θ 11.1, d = 7.999 Å, rel. 26; 2θ 28.1, d = 3.179 Å, rel. 47; 2θ 31.6, d = 2.828 Å, rel. 59; 2θ 33.6, d = 2.666 Å, rel. 100; 2θ 36.7, d = 2.449 Å, rel. 34; 2θ 54.2, d = 1.693 Å, rel. 16; 2θ 56.3, d = 1.633 Å, rel. 54; 2θ 57.6, d = 1.600 Å, rel. 15; 2θ 67.2, d = 1.393 Å, rel. 12; 2θ 70.3, d = 1.339 Å, rel. 12

Structural model:
Cell: 13.855 13.855 13.855 Å, 90.00 90.00 90.00°
Space group F-43m (No. 216)
Inequivalent atoms, fractional coordinates:
Gd (0.000, 0.000, 0.187) [24 per cell]
Gd (0.062, 0.250, 0.750) [24 per cell]
Gd (0.155, 0.155, 0.345) [16 per cell]
Mg (0.079, 0.079, 0.579) [16 per cell]
Ru (0.139, 0.139, 0.139) [16 per cell]

=====

Computed powder diffraction line list of Ba2In2O5 for Cu Kα (λ = 1.5418 Å), from a structure optimized by DFT (GGA-PBE).
Intensities are scaled so that the largest is 100.

The 10 most intense peaks (10° ≤ 2θ ≤ 80°), by angle:
2θ 29.2, d = 3.054 Å, rel. 100; 2θ 29.5, d = 3.032 Å, rel. 43; 2θ 41.5, d = 2.175 Å, rel. 13; 2θ 42.1, d = 2.144 Å, rel. 27; 2θ 51.7, d = 1.768 Å, rel. 16; 2θ 52.1, d = 1.755 Å, rel. 39; 2θ 60.6, d = 1.527 Å, rel. 16; 2θ 61.1, d = 1.516 Å, rel. 8; 2θ 69.2, d = 1.358 Å, rel. 8; 2θ 76.6, d = 1.244 Å, rel. 8

Structural model:
Cell: 6.064 6.064 8.702 Å, 90.00 90.00 90.00°
Space group I4/mmm (No. 139)
Inequivalent atoms, fractional coordinates:
Ba (0.000, 0.500, 0.000) [4 per cell]
In (0.000, 0.000, 0.231) [4 per cell]
O (0.000, 0.000, 0.000) [2 per cell]
O (0.250, 0.250, 0.250) [8 per cell]

=====

Computed powder diffraction line list of Cs2Li2TiO4 for Cu Kα (λ = 1.5418 Å), from a structure optimized by DFT (GGA-PBE).
Intensities are scaled so that the largest is 100.

The 10 most intense peaks (10° ≤ 2θ ≤ 80°), by angle:
2θ 21.3, d = 4.166 Å, rel. 40; 2θ 25.3, d = 3.518 Å, rel. 61; 2θ 25.6, d = 3.475 Å, rel. 100; 2θ 27.6, d = 3.226 Å, rel. 82; 2θ 29.1, d = 3.072 Å, rel. 59; 2θ 30.2, d = 2.964 Å, rel. 32; 2θ 30.7, d = 2.915 Å, rel. 39; 2θ 30.8, d = 2.901 Å, rel. 53; 2θ 31.4, d = 2.852 Å, rel. 97; 2θ 32.6, d = 2.744 Å, rel. 31

Structural model:
Cell: 5.848 5.967 9.605 Å, 83.85 74.52 86.19°
Space group P-1 (No. 2)
Inequivalent atoms, fractional coordinates:
Cs (0.028, 0.144, 0.287) [2 per cell]
Cs (0.283, 0.729, 0.011) [2 per cell]
Li (0.193, 0.585, 0.424) [2 per cell]
Li (0.428, 0.183, 0.442) [2 per cell]
Ti (0.363, 0.318, 0.709) [2 per cell]
O (0.135, 0.362, 0.602) [2 per cell]
O (0.241, 0.203, 0.894) [2 per cell]
O (0.400, 0.863, 0.403) [2 per cell]
O (0.478, 0.427, 0.290) [2 per cell]

=====

Computed powder diffraction line list of La7YAl8O24 for Cu Kα (λ = 1.5418 Å), from a structure optimized by DFT (GGA-PBE).
Intensities are scaled so that the largest is 100.

The 10 most intense peaks (10° ≤ 2θ ≤ 80°), by angle:
2θ 16.5, d = 5.375 Å, rel. 1; 2θ 23.4, d = 3.801 Å, rel. 45; 2θ 33.3, d = 2.688 Å, rel. 100; 2θ 41.1, d = 2.195 Å, rel. 43; 2θ 47.9, d = 1.901 Å, rel. 37; 2θ 53.9, d = 1.700 Å, rel. 21; 2θ 59.6, d = 1.552 Å, rel. 39; 2θ 70.0, d = 1.344 Å, rel. 22; 2θ 75.0, d = 1.267 Å, rel. 10; 2θ 79.8, d = 1.202 Å, rel. 17

Structural model:
Cell: 7.602 7.602 7.602 Å, 90.00 90.00 90.00°
Space group Pm-3m (No. 221)
Inequivalent atoms, fractional coordinates:
La (0.000, 0.000, 0.000) [1 per cell]
La (0.000, 0.000, 0.500) [3 per cell]
La (0.000, 0.500, 0.500) [3 per cell]
Y (0.500, 0.500, 0.500) [1 per cell]
Al (0.251, 0.251, 0.251) [8 per cell]
O (0.000, 0.250, 0.250) [12 per cell]
O (0.252, 0.252, 0.500) [12 per cell]

=====

Computed powder diffraction line list of HfFe2Si2 for Cu Kα (λ = 1.5418 Å), from a structure optimized by DFT (GGA-PBE).
Intensities are scaled so that the largest is 100.

The 10 most intense peaks (10° ≤ 2θ ≤ 80°), by angle:
2θ 17.4, d = 5.105 Å, rel. 30; 2θ 24.9, d = 3.581 Å, rel. 72; 2θ 31.1, d = 2.879 Å, rel. 41; 2θ 38.5, d = 2.336 Å, rel. 33; 2θ 39.6, d = 2.276 Å, rel. 73; 2θ 40.0, d = 2.254 Å, rel. 55; 2θ 40.4, d = 2.234 Å, rel. 68; 2θ 42.7, d = 2.118 Å, rel. 100; 2θ 43.5, d = 2.081 Å, rel. 31; 2θ 44.3, d = 2.043 Å, rel. 59

Structural model:
Cell: 7.430 7.027 5.024 Å, 90.00 90.00 90.00°
Space group Pbcm (No. 57)
Inequivalent atoms, fractional coordinates:
Hf (0.249, 0.093, 0.250) [4 per cell]
Fe (0.108, 0.017, 0.750) [4 per cell]
Fe (0.390, 0.750, 0.000) [4 per cell]
Si (0.056, 0.750, 0.000) [4 per cell]
Si (0.414, 0.049, 0.750) [4 per cell]

=====

Computed powder diffraction line list of Na3Ag for Cu Kα (λ = 1.5418 Å), from a structure optimized by DFT (GGA-PBE).
Intensities are scaled so that the largest is 100.

The 10 most intense peaks (10° ≤ 2θ ≤ 80°), by angle:
2θ 20.5, d = 4.334 Å, rel. 90; 2θ 25.2, d = 3.535 Å, rel. 22; 2θ 32.7, d = 2.741 Å, rel. 100; 2θ 35.9, d = 2.501 Å, rel. 56; 2θ 41.6, d = 2.171 Å, rel. 13; 2θ 41.7, d = 2.165 Å, rel. 34; 2θ 51.7, d = 1.768 Å, rel. 24; 2θ 56.1, d = 1.639 Å, rel. 24; 2θ 62.5, d = 1.485 Å, rel. 27; 2θ 68.4, d = 1.371 Å, rel. 15

Structural model:
Cell: 4.999 4.999 8.685 Å, 90.00 90.00 90.00°
Space group I4/mmm (No. 139)
Inequivalent atoms, fractional coordinates:
Na (0.000, 0.000, 0.000) [2 per cell]
Na (0.000, 0.500, 0.250) [4 per cell]
Ag (0.000, 0.000, 0.500) [2 per cell]